Entry 1:
Simulated X-ray powder pattern
Compound: DyErCu4
Radiation: copper Kα
Structure: the GGA-PBE geometry in OQMD

Cell and atoms:
Cell lengths 3.466, 3.466, 8.707 Å; angles 90.00, 90.00, 90.00 degrees
Space group P4/mmm (No. 123)
Symmetry-distinct sites (fractional):
Dy1 0.000 0.000 0.000 [1 per cell]
Er1 0.500 0.500 0.500 [1 per cell]
Cu1 0.000 0.000 0.325 [2 per cell]
Cu2 0.500 0.500 0.180 [2 per cell]

Peak list (8 most intense, 2θ = 10–90°, sorted by position)
27.70°, d = 3.220 Å, I 32; 36.67°, d = 2.451 Å, I 68; 40.54°, d = 2.225 Å, I 100; 52.83°, d = 1.733 Å, I 23; 68.64°, d = 1.367 Å, I 40; 76.25°, d = 1.249 Å, I 14; 87.72°, d = 1.113 Å, I 10; 89.39°, d = 1.096 Å, I 10

---

Entry 2:
Simulated X-ray powder pattern
Compound: Dy2ErCu4Si2Ge2
Radiation: copper Kα
Structure: the GGA-PBE geometry in OQMD

Cell and atoms:
Cell lengths 4.194, 6.565, 13.781 Å; angles 90.00, 90.00, 90.00 degrees
Space group Immm (No. 71)
Symmetry-distinct sites (fractional):
Dy1 0.000 0.000 0.129 [4 per cell]
Er1 0.000 0.500 0.000 [2 per cell]
Cu1 0.000 0.191 0.336 [8 per cell]
Si1 0.000 0.315 0.500 [4 per cell]
Ge1 0.000 0.500 0.216 [4 per cell]

Peak list (8 most intense, 2θ = 10–90°, sorted by position)
22.16°, d = 4.012 Å, I 17; 27.17°, d = 3.282 Å, I 17; 35.33°, d = 2.541 Å, I 100; 36.42°, d = 2.467 Å, I 90; 40.02°, d = 2.253 Å, I 18; 43.14°, d = 2.097 Å, I 30; 45.94°, d = 1.976 Å, I 20; 64.83°, d = 1.438 Å, I 23